# 1
The following is a theoretical powder diffractogram of Pm9Tl2Cd. It was derived from a cell relaxed with GGA-PBE, using Cu Kα X-rays.

Atomic structure:
abc: 4.965 4.965 14.841
angles: 90.00 90.00 90.00
Fractional coordinates of all 12 atoms:
1 Pm 0.000 0.000 0.000
2 Pm 0.000 0.000 0.331
3 Pm 0.000 0.000 0.669
4 Pm 0.000 0.500 0.166
5 Pm 0.000 0.500 0.500
6 Pm 0.000 0.500 0.834
7 Pm 0.500 0.000 0.166
8 Pm 0.500 0.000 0.500
9 Pm 0.500 0.000 0.834
10 Tl 0.500 0.500 0.334
11 Tl 0.500 0.500 0.666
12 Cd 0.500 0.500 0.000

Peak list (8 most intense, 2θ from 10° to 90°, in order of rising 2θ)
2theta, I/Imax
31.24, 100
36.19, 34
36.32, 17
52.10, 12
52.20, 24
62.02, 28
62.20, 14
65.17, 12

# 2
The following is a theoretical powder diffractogram of HoAgRhF6. It was derived from a cell relaxed with GGA-PBE, using Cu Kα X-rays.

Atomic structure:
abc: 5.725 5.725 10.462
angles: 90.00 90.00 120.00
Fractional coordinates of all 18 atoms:
1 Ho 0.333 0.667 0.250
2 Ho 0.667 0.333 0.750
3 Ag 0.000 0.000 0.000
4 Ag 0.000 0.000 0.500
5 Rh 0.333 0.667 0.750
6 Rh 0.667 0.333 0.250
7 F 0.002 0.356 0.639
8 F 0.002 0.647 0.861
9 F 0.353 0.356 0.861
10 F 0.353 0.998 0.639
11 F 0.356 0.002 0.139
12 F 0.356 0.353 0.361
13 F 0.644 0.647 0.639
14 F 0.644 0.998 0.861
15 F 0.647 0.002 0.361
16 F 0.647 0.644 0.139
17 F 0.998 0.353 0.139
18 F 0.998 0.644 0.361

Peak list (8 most intense, 2θ from 10° to 90°, in order of rising 2θ)
2theta, I/Imax
16.95, 21
24.74, 100
31.25, 46
35.76, 19
40.26, 26
47.07, 54
51.83, 26
55.62, 20

# 3
The following is a theoretical powder diffractogram of Ac4RuPt2. It was derived from a cell relaxed with GGA-PBE, using Cu Kα X-rays.

Atomic structure:
abc: 7.982 7.982 7.520
angles: 117.30 117.30 32.92
Fractional coordinates of all 7 atoms:
1 Ac 0.119 0.119 0.284
2 Ac 0.371 0.371 0.204
3 Ac 0.629 0.629 0.796
4 Ac 0.881 0.881 0.716
5 Ru 0.500 0.500 0.000
6 Pt 0.255 0.255 0.754
7 Pt 0.745 0.745 0.246

Peak list (8 most intense, 2θ from 10° to 90°, in order of rising 2θ)
2theta, I/Imax
26.47, 28
26.64, 100
27.00, 49
35.21, 40
35.51, 54
39.86, 30
41.18, 55
46.67, 22

# 4
The following is a theoretical powder diffractogram of Cs2TaBr6N. It was derived from a cell relaxed with GGA-PBE, using Cu Kα X-rays.

Atomic structure:
abc: 8.056 8.056 8.056
angles: 120.07 120.07 89.88
Fractional coordinates of all 10 atoms:
1 Cs 0.250 0.750 0.500
2 Cs 0.750 0.250 0.500
3 Ta 0.000 0.000 0.000
4 Br 0.227 0.227 0.000
5 Br 0.227 0.227 0.455
6 Br 0.227 0.773 0.000
7 Br 0.773 0.227 0.000
8 Br 0.773 0.773 0.000
9 Br 0.773 0.773 0.545
10 N 0.500 0.500 0.000

Peak list (8 most intense, 2θ from 10° to 90°, in order of rising 2θ)
2theta, I/Imax
13.47, 63
22.08, 52
27.12, 68
31.42, 100
41.19, 23
45.03, 68
53.36, 25
55.94, 22